Simulated PXRD pattern
Compound: YTlTc
Radiation: Cu Ka
Structure: a cell relaxed with GGA-PBE

Structural model:
```
data_YTlTc
_cell_length_a 4.7467
_cell_length_b 4.7467
_cell_length_c 3.5164
_cell_angle_alpha 90.00
_cell_angle_beta 90.00
_cell_angle_gamma 120.00
_space_group_name_H-M_alt 'P -6 m 2'
_space_group_IT_number 187
_space_group_name_Hall 'P -6 2'
loop_
_atom_site_label
_atom_site_type_symbol
_atom_site_fract_x
_atom_site_fract_y
_atom_site_fract_z
Y1 Y 0.0000 0.0000 0.0000
Tl1 Tl 0.3333 0.6667 0.5000
Tc1 Tc 0.6667 0.3333 0.5000
```

Main lines, low angle first (10 to 90 degrees two-theta):
- 2θ 21.6, intensity 23, (1 0 0)
- 2θ 25.3, intensity 23, (0 0 1)
- 2θ 33.5, intensity 100, (1 0 1)
- 2θ 37.9, intensity 84, (1 1 0)
- 2θ 46.1, intensity 28, (1 1 1)
- 2θ 51.5, intensity 30, (2 0 1)
- 2θ 52.0, intensity 11, (0 0 2)
- 2θ 65.7, intensity 28, (2 1 1)
- 2θ 66.1, intensity 32, (1 1 2)
- 2θ 68.5, intensity 15, (3 0 0)



Simulated PXRD pattern
Compound: Zr6TlTc
Radiation: Cu Ka
Structure: a cell relaxed with GGA-PBE

Structural model:
```
data_Zr6TlTc
_cell_length_a 8.2176
_cell_length_b 8.2176
_cell_length_c 8.9978
_cell_angle_alpha 90.00
_cell_angle_beta 90.00
_cell_angle_gamma 120.00
_space_group_name_H-M_alt 'R -3'
_space_group_IT_number 148
_space_group_name_Hall '-R 3'
loop_
_atom_site_label
_atom_site_type_symbol
_atom_site_fract_x
_atom_site_fract_y
_atom_site_fract_z
Zr1 Zr 0.0165 0.2403 0.2209
Tl1 Tl 0.0000 0.0000 0.5000
Tc1 Tc 0.0000 0.0000 0.0000
```

Main lines, low angle first (10 to 90 degrees two-theta):
- 2θ 21.6, intensity 19, (1 1 0)
- 2θ 29.8, intensity 18, (0 0 3)
- 2θ 32.1, intensity 55, (2 0 2)
- 2θ 34.8, intensity 86, (2 1 1)
- 2θ 37.1, intensity 29, (2 -1 3)
- 2θ 37.9, intensity 23, (3 0 0)
- 2θ 39.0, intensity 100, (3 -2 2)
- 2θ 42.1, intensity 31, (1 0 4)
- 2θ 59.5, intensity 33, (1 4 0)
- 2θ 67.1, intensity 15, (4 0 4)



Simulated PXRD pattern
Compound: ZrTlTc4
Radiation: Cu Ka
Structure: a cell relaxed with GGA-PBE

Structural model:
```
data_ZrTlTc4
_cell_length_a 7.457
_cell_length_b 7.457
_cell_length_c 7.457
_cell_angle_alpha 90.00
_cell_angle_beta 90.00
_cell_angle_gamma 90.00
_space_group_name_H-M_alt 'F -4 3 m'
_space_group_IT_number 216
_space_group_name_Hall 'F -4 2 3'
loop_
_atom_site_label
_atom_site_type_symbol
_atom_site_fract_x
_atom_site_fract_y
_atom_site_fract_z
Zr1 Zr 0.000 0.000 0.000
Tl1 Tl 0.250 0.250 0.250
Tc1 Tc 0.124 0.124 0.624
```

Main lines, low angle first (10 to 90 degrees two-theta):
- 2θ 20.6, intensity 6, (1 1 1)
- 2θ 34.0, intensity 39, (2 2 0)
- 2θ 40.1, intensity 100, (3 1 1)
- 2θ 42.0, intensity 29, (2 2 2)
- 2θ 60.9, intensity 15, (4 2 2)
- 2θ 65.0, intensity 32, (3 3 3)
- 2θ 71.6, intensity 25, (4 4 0)
- 2θ 81.7, intensity 6, (6 2 0)
- 2θ 85.4, intensity 11, (5 3 3)
- 2θ 86.6, intensity 11, (6 2 2)



Simulated PXRD pattern
Compound: ZrTlTc2
Radiation: Cu Ka
Structure: a cell relaxed with GGA-PBE

Structural model:
```
data_ZrTlTc2
_cell_length_a 3.089
_cell_length_b 4.002
_cell_length_c 5.944
_cell_angle_alpha 90.00
_cell_angle_beta 90.00
_cell_angle_gamma 90.00
_space_group_name_H-M_alt 'P m m 2'
_space_group_IT_number 25
loop_
_space_group_symop_operation_xyz
'x,y,z'
'-x,-y,z'
'-x,y,z'
'x,-y,z'
loop_
_atom_site_label
_atom_site_type_symbol
_atom_site_fract_x
_atom_site_fract_y
_atom_site_fract_z
Zr1 Zr 0.000 0.000 0.000
Tl1 Tl 0.500 0.500 0.705
Tc1 Tc 0.000 0.000 0.428
Tc2 Tc 0.500 0.500 0.234
```

Main lines, low angle first (10 to 90 degrees two-theta):
- 2θ 26.9, intensity 19, (0 1 1)
- 2θ 36.8, intensity 100, (1 1 0)
- 2θ 37.7, intensity 84, (0 1 2)
- 2θ 42.2, intensity 62, (1 0 2)
- 2θ 45.3, intensity 28, (0 2 0)
- 2θ 59.9, intensity 12, (2 0 0)
- 2θ 63.6, intensity 36, (1 2 2)
- 2θ 73.0, intensity 24, (2 1 2)
- 2θ 74.8, intensity 17, (1 1 4)
- 2θ 78.6, intensity 12, (0 3 2)



Simulated PXRD pattern
Compound: Tm4Tc
Radiation: Cu Ka
Structure: a cell relaxed with GGA-PBE

Structural model:
```
data_Tm4Tc
_cell_length_a 6.295
_cell_length_b 7.594
_cell_length_c 6.080
_cell_angle_alpha 90.00
_cell_angle_beta 108.20
_cell_angle_gamma 90.00
_space_group_name_H-M_alt 'P 1 2/c 1'
_space_group_IT_number 13
loop_
_space_group_symop_operation_xyz
'x,y,z'
'-x,-y,-z'
'-x,y,-z+1/2'
'x,-y,z+1/2'
loop_
_atom_site_label
_atom_site_type_symbol
_atom_site_fract_x
_atom_site_fract_y
_atom_site_fract_z
Tm1 Tm 0.227 0.145 0.026
Tm2 Tm 0.257 0.388 0.514
Tc1 Tc 0.500 0.122 0.750
```

Main lines, low angle first (10 to 90 degrees two-theta):
- 2θ 29.5, intensity 75, (1 2 -1)
- 2θ 29.9, intensity 50, (2 0 0)
- 2θ 31.0, intensity 34, (0 0 2)
- 2θ 34.2, intensity 100, (1 2 1)
- 2θ 35.9, intensity 39, (2 0 -2)
- 2θ 47.9, intensity 17, (0 4 0)
- 2θ 49.7, intensity 30, (3 2 -1)
- 2θ 50.3, intensity 17, (2 0 2)
- 2θ 51.1, intensity 27, (1 2 -3)
- 2θ 61.3, intensity 14, (2 4 -2)



Simulated PXRD pattern
Compound: YTm3Tc
Radiation: Cu Ka
Structure: a cell relaxed with GGA-PBE

Structural model:
```
data_YTm3Tc
_cell_length_a 4.700
_cell_length_b 8.205
_cell_length_c 7.095
_cell_angle_alpha 90.00
_cell_angle_beta 90.00
_cell_angle_gamma 90.00
_space_group_name_H-M_alt 'P m m n'
_space_group_IT_number 59
loop_
_space_group_symop_operation_xyz
'x,y,z'
'-x,-y,-z'
'-x+1/2,-y+1/2,z'
'x+1/2,y+1/2,-z'
'x+1/2,-y,-z'
'-x+1/2,y,z'
'-x,y+1/2,-z'
'x,-y+1/2,z'
loop_
_atom_site_label
_atom_site_type_symbol
_atom_site_fract_x
_atom_site_fract_y
_atom_site_fract_z
Y1 Y 0.250 0.250 0.069
Tm1 Tm 0.250 0.550 0.675
Tm2 Tm 0.250 0.750 0.271
Tc1 Tc 0.250 0.250 0.474
```

Main lines, low angle first (10 to 90 degrees two-theta):
- 2θ 12.5, intensity 33, (0 0 1)
- 2θ 31.6, intensity 100, (1 2 1)
- 2θ 33.5, intensity 53, (1 1 2)
- 2θ 35.2, intensity 19, (0 3 1)
- 2θ 38.1, intensity 17, (0 0 3)
- 2θ 38.3, intensity 29, (2 0 0)
- 2θ 38.6, intensity 12, (1 2 2)
- 2θ 44.2, intensity 14, (0 4 0)
- 2θ 65.1, intensity 13, (3 2 1)
- 2θ 65.8, intensity 17, (1 5 2)



Simulated PXRD pattern
Compound: U5Tc3
Radiation: Cu Ka
Structure: a cell relaxed with GGA-PBE

Structural model:
```
data_U5Tc3
_cell_length_a 3.833
_cell_length_b 3.833
_cell_length_c 20.846
_cell_angle_alpha 90.00
_cell_angle_beta 90.00
_cell_angle_gamma 90.00
_space_group_name_H-M_alt 'I -4 m 2'
_space_group_IT_number 119
_space_group_name_Hall 'I -4 -2'
loop_
_atom_site_label
_atom_site_type_symbol
_atom_site_fract_x
_atom_site_fract_y
_atom_site_fract_z
U1 U 0.000 0.000 0.000
U2 U 0.000 0.000 0.244
U3 U 0.000 0.500 0.129
Tc1 Tc 0.000 0.000 0.500
Tc2 Tc 0.000 0.500 0.622
```

Main lines, low angle first (10 to 90 degrees two-theta):
- 2θ 23.6, intensity 8, (1 0 1)
- 2θ 31.7, intensity 7, (1 0 5)
- 2θ 34.4, intensity 30, (0 0 8)
- 2θ 37.4, intensity 100, (1 1 4)
- 2θ 47.4, intensity 26, (2 0 0)
- 2θ 59.9, intensity 25, (2 0 8)
- 2θ 63.6, intensity 20, (1 1 12)
- 2θ 69.4, intensity 9, (2 2 0)
- 2θ 79.8, intensity 12, (2 2 8)
- 2θ 81.5, intensity 23, (3 1 4)



Simulated PXRD pattern
Compound: U3Tc2
Radiation: Cu Ka
Structure: a cell relaxed with GGA-PBE

Structural model:
```
data_U3Tc2
_cell_length_a 6.967
_cell_length_b 8.034
_cell_length_c 7.205
_cell_angle_alpha 90.00
_cell_angle_beta 90.00
_cell_angle_gamma 90.00
_space_group_name_H-M_alt 'C m c 21'
_space_group_IT_number 36
loop_
_space_group_symop_operation_xyz
'x,y,z'
'-x,-y,z+1/2'
'-x,y,z'
'x,-y,z+1/2'
'x+1/2,y+1/2,z'
'-x+1/2,-y+1/2,z+1/2'
'-x+1/2,y+1/2,z'
'x+1/2,-y+1/2,z+1/2'
loop_
_atom_site_label
_atom_site_type_symbol
_atom_site_fract_x
_atom_site_fract_y
_atom_site_fract_z
U1 U 0.000 0.250 0.000
U2 U 0.250 0.069 0.250
Tc1 Tc 0.000 0.133 0.624
Tc2 Tc 0.000 0.368 0.375
```

Main lines, low angle first (10 to 90 degrees two-theta):
- 2θ 33.4, intensity 70, (0 2 2)
- 2θ 34.1, intensity 72, (2 2 0)
- 2θ 35.9, intensity 100, (2 0 2)
- 2θ 36.3, intensity 99, (2 2 1)
- 2θ 38.1, intensity 36, (1 3 1)
- 2θ 41.3, intensity 32, (1 1 3)
- 2θ 43.9, intensity 29, (0 2 3)
- 2θ 52.5, intensity 29, (4 0 0)
- 2θ 54.2, intensity 24, (2 4 1)
- 2θ 63.7, intensity 23, (4 2 2)